1.
Diffraction record for ZnFe4Ir15. The X-ray powder pattern is theoretical, not measured: it uses the GGA-PBE geometry in Alexandria and Cu Ka.
Lines closer than 0.1° are merged.

Cell and atoms:
a = 3.835 Å, b = 3.835 Å, c = 19.147 Å
α = 90.00°, β = 90.00°, γ = 90.00°
Space group P4/mmm (No. 123)
Asymmetric unit:
Zn (0.000, 0.000, 0.000) x1
Fe (0.000, 0.000, 0.200) x2
Fe (0.000, 0.000, 0.400) x2
Ir (0.000, 0.500, 0.103) x4
Ir (0.000, 0.500, 0.301) x4
Ir (0.000, 0.500, 0.500) x2
Ir (0.500, 0.500, 0.000) x1
Ir (0.500, 0.500, 0.202) x2
Ir (0.500, 0.500, 0.400) x2

Most intense lines, 15° ≤ 2θ ≤ 90°, in order of rising 2θ:
| d [Å] | two_theta | I/Imax | hkl |
| --- | --- | --- | --- |
| 3.833 | 23.2 | 13 | 1 0 0 |
| 2.710 | 33.1 | 11 | 1 1 0 |
| 2.213 | 40.8 | 100 | 1 1 5 |
| 1.916 | 47.4 | 49 | 2 0 0 |
| 1.714 | 53.5 | 6 | 2 1 0 |
| 1.565 | 59.0 | 4 | 2 1 5 |
| 1.355 | 69.3 | 31 | 2 2 0 |
| 1.278 | 74.2 | 3 | 3 0 0 |
| 1.156 | 83.7 | 38 | 3 1 5 |
| 1.106 | 88.3 | 11 | 2 2 10 |

2.
Diffraction record for ZnFe2Ir. The X-ray powder pattern is theoretical, not measured: it uses the GGA-PBE geometry in Alexandria and Cu Ka.
Lines closer than 0.1° are merged.

Cell and atoms:
a = 3.808 Å, b = 3.808 Å, c = 7.245 Å
α = 90.00°, β = 90.00°, γ = 90.00°
Space group I-4m2 (No. 119)
Asymmetric unit:
Zn (0.000, 0.000, 0.000) x2
Fe (0.000, 0.000, 0.500) x2
Fe (0.000, 0.500, 0.750) x2
Ir (0.000, 0.500, 0.250) x2

Most intense lines, 15° ≤ 2θ ≤ 90°, in order of rising 2θ:
| d [Å] | two_theta | I/Imax | hkl |
| --- | --- | --- | --- |
| 3.371 | 26.4 | 39 | 1 0 1 |
| 2.161 | 41.8 | 100 | 1 1 2 |
| 2.039 | 44.4 | 10 | 1 0 3 |
| 1.904 | 47.8 | 34 | 2 0 0 |
| 1.811 | 50.4 | 14 | 0 0 4 |
| 1.658 | 55.4 | 11 | 2 1 1 |
| 1.346 | 69.9 | 10 | 2 2 0 |
| 1.312 | 72.0 | 19 | 2 0 4 |
| 1.143 | 84.9 | 25 | 3 1 2 |
| 1.102 | 88.8 | 11 | 1 1 6 |

3.
Diffraction record for ZnFe4Ir5. The X-ray powder pattern is theoretical, not measured: it uses the GGA-PBE geometry in Alexandria and Cu Ka.
Lines closer than 0.1° are merged.

Cell and atoms:
a = 2.702 Å, b = 2.702 Å, c = 18.186 Å
α = 90.00°, β = 90.00°, γ = 90.00°
Space group P4/mmm (No. 123)
Asymmetric unit:
Zn (0.000, 0.000, 0.000) x1
Fe (0.000, 0.000, 0.202) x2
Fe (0.000, 0.000, 0.401) x2
Ir (0.500, 0.500, 0.108) x2
Ir (0.500, 0.500, 0.301) x2
Ir (0.500, 0.500, 0.500) x1

Most intense lines, 15° ≤ 2θ ≤ 90°, in order of rising 2θ:
| d [Å] | two_theta | I/Imax | hkl |
| --- | --- | --- | --- |
| 3.637 | 24.5 | 25 | 0 0 5 |
| 2.702 | 33.2 | 24 | 1 0 0 |
| 2.169 | 41.6 | 100 | 1 0 5 |
| 1.910 | 47.6 | 35 | 1 1 0 |
| 1.819 | 50.2 | 14 | 0 0 10 |
| 1.691 | 54.2 | 13 | 1 1 5 |
| 1.351 | 69.6 | 11 | 2 0 0 |
| 1.317 | 71.6 | 19 | 1 1 10 |
| 1.147 | 84.5 | 26 | 2 1 5 |
| 1.106 | 88.4 | 10 | 1 0 15 |

4.
Diffraction record for ZnFe14Ir. The X-ray powder pattern is theoretical, not measured: it uses the GGA-PBE geometry in Alexandria and Cu Ka.
Lines closer than 0.1° are merged.

Cell and atoms:
a = 5.772 Å, b = 8.149 Å, c = 8.129 Å
α = 90.00°, β = 90.00°, γ = 90.00°
Space group Cmmm (No. 65)
Asymmetric unit:
Zn (0.000, 0.000, 0.000) x2
Fe (0.000, 0.000, 0.500) x2
Fe (0.000, 0.248, 0.251) x8
Fe (0.000, 0.500, 0.500) x2
Fe (0.249, 0.000, 0.258) x8
Fe (0.250, 0.250, 0.000) x4
Fe (0.250, 0.250, 0.500) x4
Ir (0.000, 0.500, 0.000) x2

Most intense lines, 15° ≤ 2θ ≤ 90°, in order of rising 2θ:
| d [Å] | two_theta | I/Imax | hkl |
| --- | --- | --- | --- |
| 4.710 | 18.8 | 4 | 1 1 0 |
| 4.073 | 21.8 | 10 | 0 0 2 |
| 2.353 | 38.2 | 4 | 2 2 0 |
| 2.038 | 44.5 | 100 | 2 2 2 |
| 2.032 | 44.6 | 20 | 0 0 4 |
| 1.443 | 64.6 | 6 | 4 0 0 |
| 1.439 | 64.8 | 12 | 0 4 4 |
| 1.177 | 81.8 | 12 | 4 4 0 |
| 1.176 | 81.9 | 12 | 2 6 2 |
| 1.174 | 82.1 | 12 | 2 2 6 |

5.
Diffraction record for Zn2FeIr. The X-ray powder pattern is theoretical, not measured: it uses the GGA-PBE geometry in Alexandria and Cu Ka.
Lines closer than 0.1° are merged.

Cell and atoms:
a = 2.757 Å, b = 3.663 Å, c = 5.421 Å
α = 90.00°, β = 90.00°, γ = 90.00°
Space group Pmm2 (No. 25)
Asymmetric unit:
Zn (0.000, 0.000, 0.000) x1
Zn (0.500, 0.500, 0.252) x1
Fe (0.000, 0.000, 0.511) x1
Ir (0.500, 0.500, 0.739) x1

Most intense lines, 15° ≤ 2θ ≤ 90°, in order of rising 2θ:
| d [Å] | two_theta | I/Imax | hkl |
| --- | --- | --- | --- |
| 5.421 | 16.4 | 46 | 0 0 1 |
| 3.663 | 24.3 | 21 | 0 1 0 |
| 3.035 | 29.4 | 21 | 0 1 1 |
| 2.203 | 41.0 | 100 | 1 1 0 |
| 2.179 | 41.4 | 96 | 0 1 2 |
| 1.933 | 47.0 | 66 | 1 0 2 |
| 1.831 | 49.8 | 28 | 0 2 0 |
| 1.329 | 70.9 | 37 | 1 2 2 |
| 1.165 | 82.9 | 28 | 2 1 2 |
| 1.154 | 83.8 | 23 | 1 1 4 |

6.
Diffraction record for ZrFeIr. The X-ray powder pattern is theoretical, not measured: it uses the GGA-PBE geometry in Alexandria and Cu Ka.
Lines closer than 0.1° are merged.

Cell and atoms:
a = 4.925 Å, b = 5.385 Å, c = 7.201 Å
α = 90.00°, β = 90.00°, γ = 90.00°
Space group Imma (No. 74)
Asymmetric unit:
Zr (0.000, 0.250, 0.120) x4
Fe (0.250, 0.250, 0.750) x4
Ir (0.000, 0.000, 0.500) x4

Most intense lines, 15° ≤ 2θ ≤ 90°, in order of rising 2θ:
| d [Å] | two_theta | I/Imax | hkl |
| --- | --- | --- | --- |
| 4.065 | 21.9 | 51 | 1 0 1 |
| 3.600 | 24.7 | 24 | 0 0 2 |
| 2.558 | 35.1 | 19 | 1 1 2 |
| 2.463 | 36.5 | 25 | 2 0 0 |
| 2.245 | 40.2 | 100 | 1 2 1 |
| 2.157 | 41.9 | 81 | 1 0 3 |
| 2.139 | 42.3 | 19 | 2 1 1 |
| 2.033 | 44.6 | 36 | 2 0 2 |
| 1.376 | 68.2 | 21 | 3 2 1 |
| 1.279 | 74.2 | 32 | 2 2 4 |

7.
Diffraction record for K2Fe. The X-ray powder pattern is theoretical, not measured: it uses the GGA-PBE geometry in Alexandria and Cu Ka.
Lines closer than 0.1° are merged.

Cell and atoms:
a = 13.969 Å, b = 3.833 Å, c = 10.401 Å
α = 90.00°, β = 115.10°, γ = 90.00°
Space group C2/m (No. 12)
Asymmetric unit:
K (0.010, 0.000, 0.179) x4
K (0.179, 0.500, 0.658) x4
Fe (0.216, 0.500, 0.027) x4

Most intense lines, 15° ≤ 2θ ≤ 90°, in order of rising 2θ:
| d [Å] | two_theta | I/Imax | hkl |
| --- | --- | --- | --- |
| 3.476 | 25.6 | 61 | 4 0 -1 |
| 3.456 | 25.8 | 75 | 2 0 -3 |
| 3.185 | 28.0 | 60 | 2 0 2 |
| 3.163 | 28.2 | 26 | 4 0 0 |
| 3.084 | 29.0 | 63 | 1 1 -2 |
| 2.836 | 31.5 | 100 | 3 1 0 |
| 2.545 | 35.3 | 45 | 1 1 -3 |
| 2.431 | 37.0 | 33 | 2 0 3 |
| 2.137 | 42.3 | 58 | 5 1 -3 |
| 1.726 | 53.1 | 24 | 7 1 -1 |

8.
Diffraction record for KLaFe. The X-ray powder pattern is theoretical, not measured: it uses the GGA-PBE geometry in Alexandria and Cu Ka.
Lines closer than 0.1° are merged.

Cell and atoms:
a = 3.742 Å, b = 3.742 Å, c = 14.835 Å
α = 90.00°, β = 90.00°, γ = 90.00°
Space group I4mm (No. 107)
Asymmetric unit:
K (0.000, 0.000, 0.000) x2
La (0.000, 0.000, 0.749) x2
Fe (0.000, 0.000, 0.324) x2

Most intense lines, 15° ≤ 2θ ≤ 90°, in order of rising 2θ:
| d [Å] | two_theta | I/Imax | hkl |
| --- | --- | --- | --- |
| 3.709 | 24.0 | 47 | 0 0 4 |
| 3.628 | 24.5 | 44 | 1 0 1 |
| 2.984 | 29.9 | 100 | 1 0 3 |
| 2.646 | 33.9 | 76 | 1 1 0 |
| 2.492 | 36.0 | 44 | 1 1 2 |
| 2.325 | 38.7 | 59 | 1 0 5 |
| 2.154 | 41.9 | 42 | 1 1 4 |
| 1.844 | 49.4 | 36 | 1 0 7 |
| 1.585 | 58.2 | 29 | 2 1 3 |
| 1.458 | 63.9 | 26 | 2 1 5 |

- What is the formula in the eighth record?
  KLaFe

Copy entry 1 word for word.
Diffraction record for ZnFe4Ir15. The X-ray powder pattern is theoretical, not measured: it uses the GGA-PBE geometry in Alexandria and Cu Ka.
Lines closer than 0.1° are merged.

Cell and atoms:
a = 3.835 Å, b = 3.835 Å, c = 19.147 Å
α = 90.00°, β = 90.00°, γ = 90.00°
Space group P4/mmm (No. 123)
Asymmetric unit:
Zn (0.000, 0.000, 0.000) x1
Fe (0.000, 0.000, 0.200) x2
Fe (0.000, 0.000, 0.400) x2
Ir (0.000, 0.500, 0.103) x4
Ir (0.000, 0.500, 0.301) x4
Ir (0.000, 0.500, 0.500) x2
Ir (0.500, 0.500, 0.000) x1
Ir (0.500, 0.500, 0.202) x2
Ir (0.500, 0.500, 0.400) x2

Most intense lines, 15° ≤ 2θ ≤ 90°, in order of rising 2θ:
| d [Å] | two_theta | I/Imax | hkl |
| --- | --- | --- | --- |
| 3.833 | 23.2 | 13 | 1 0 0 |
| 2.710 | 33.1 | 11 | 1 1 0 |
| 2.213 | 40.8 | 100 | 1 1 5 |
| 1.916 | 47.4 | 49 | 2 0 0 |
| 1.714 | 53.5 | 6 | 2 1 0 |
| 1.565 | 59.0 | 4 | 2 1 5 |
| 1.355 | 69.3 | 31 | 2 2 0 |
| 1.278 | 74.2 | 3 | 3 0 0 |
| 1.156 | 83.7 | 38 | 3 1 5 |
| 1.106 | 88.3 | 11 | 2 2 10 |